Calculated X-ray diffraction stick pattern of AlHg for Cu Ka, from a PBE-relaxed structure.

Atomic structure:
a b c (Å): 3.1483 3.1483 4.8947
angles (deg): 90.00 90.00 120.00
Space group P-6m2 (No. 187)
Symmetry-distinct sites (fractional):
Al: 0.0000 0.0000 0.0000 x1
Hg: 0.6667 0.3333 0.5000 x1

Largest 6 diffraction maxima, in order of rising 2θ, 10° ≤ 2θ ≤ 90°:
(hkl)  2theta  Rel. int.
0 0 1  18.1  63
1 0 0  32.8  55
0 0 2  36.7  20
1 0 1  37.8  100
1 0 2  50.1  35
1 0 3  66.8  19